[1]
Starting from a GGA-PBE-relaxed structure, the X-ray diffraction stick pattern of Ca4Nb2O9 was calculated for Cu Ka.
Lines closer than 0.1° are merged.

Structural model:
```
data_Ca4Nb2O9
_chemical_formula_sum 'Ca16 Nb8 O36'
_cell_length_a 9.944
_cell_length_b 5.587
_cell_length_c 17.268
_cell_angle_alpha 90.00
_cell_angle_beta 124.02
_cell_angle_gamma 90.00
_space_group_name_H-M_alt 'P 1 21/c 1'
_space_group_IT_number 14
_space_group_name_Hall '-P 2ybc'
loop_
_atom_site_label
_atom_site_type_symbol
_atom_site_fract_x
_atom_site_fract_y
_atom_site_fract_z
Ca1 Ca 0.000 0.000 0.000
Ca2 Ca 0.045 0.020 0.391
Ca3 Ca 0.286 0.502 0.770
Ca4 Ca 0.379 0.015 0.075
Ca5 Ca 0.500 0.000 0.500
Nb1 Nb 0.177 0.511 0.338
Nb2 Nb 0.329 0.507 0.161
O1 O 0.048 0.699 0.750
O2 O 0.125 0.618 0.425
O3 O 0.171 0.170 0.550
O4 O 0.199 0.701 0.629
O5 O 0.222 0.094 0.734
O6 O 0.263 0.209 0.403
O7 O 0.381 0.678 0.399
O8 O 0.445 0.620 0.107
O9 O 0.478 0.213 0.217
```

Most intense lines, 2θ = 5–70°, sorted by position:
2θ 21.97, I 76, hkl 1 1 1
2θ 30.49, I 49, hkl 2 0 2
2θ 31.16, I 100, hkl 1 1 -5
2θ 31.38, I 99, hkl 3 1 -3
2θ 32.04, I 42, hkl 0 2 0
2θ 44.81, I 86, hkl 4 0 -8
2θ 54.89, I 31, hkl 2 0 -10
2θ 56.69, I 26, hkl 3 3 -3

[2]
Starting from a GGA-PBE-relaxed structure, the X-ray diffraction stick pattern of Ca4Nb2O9 was calculated for Cu Ka.
Lines closer than 0.1° are merged.

Structural model:
```
data_Ca4Nb2O9
_chemical_formula_sum 'Ca16 Nb8 O36'
_cell_length_a 8.026
_cell_length_b 5.849
_cell_length_c 18.606
_cell_angle_alpha 90.00
_cell_angle_beta 115.11
_cell_angle_gamma 90.00
_space_group_name_H-M_alt 'P 1 21/c 1'
_space_group_IT_number 14
_space_group_name_Hall '-P 2ybc'
loop_
_atom_site_label
_atom_site_type_symbol
_atom_site_fract_x
_atom_site_fract_y
_atom_site_fract_z
Ca1 Ca 0.078 0.065 0.332
Ca2 Ca 0.163 0.000 0.165
Ca3 Ca 0.257 0.551 0.507
Ca4 Ca 0.407 0.055 0.662
Nb1 Nb 0.000 0.000 0.500
Nb2 Nb 0.321 0.513 0.330
Nb3 Nb 0.500 0.000 0.500
O1 O 0.113 0.213 0.056
O2 O 0.149 0.054 0.878
O3 O 0.151 0.670 0.099
O4 O 0.184 0.178 0.740
O5 O 0.205 0.708 0.779
O6 O 0.220 0.539 0.966
O7 O 0.462 0.195 0.404
O8 O 0.470 0.046 0.199
O9 O 0.491 0.713 0.437
```

Most intense lines, 2θ = 5–70°, sorted by position:
2θ 21.94, I 53, hkl 0 1 3
2θ 30.57, I 50, hkl 0 2 0
2θ 31.29, I 100, hkl 2 1 1
2θ 31.47, I 97, hkl 2 1 -5
2θ 31.87, I 43, hkl 0 0 6
2θ 44.75, I 55, hkl 0 2 6
2θ 45.19, I 30, hkl 4 0 -4
2θ 56.63, I 38, hkl 4 0 -10